Entry 1:
Starting from a structure optimized by DFT (PBE), the powder diffractogram of Rb2BaIrO5 was calculated for copper Kα.

Peak list (10 most intense, 5 to 70 degrees two-theta, by intensity)
two_theta, Rel. int.
30.17, 100
13.19, 31
40.06, 27
26.57, 25
29.43, 24
52.67, 20
49.20, 17
62.73, 15
16.03, 14
46.14, 11

Cell and atoms:
a b c (Å): 7.6232 7.6232 7.6232
angles (deg): 150.09 133.09 56.64
Fractional coordinates of all 9 atoms:
Rb1 0.2182 0.2182 0.0000
Rb2 0.7818 0.7818 0.0000
Ba1 0.5000 0.0000 0.5000
Ir1 0.0000 0.5000 0.5000
O1 0.0000 0.0000 0.0000
O2 0.1308 0.3983 0.7326
O3 0.3343 0.6017 0.7326
O4 0.6657 0.3983 0.2674
O5 0.8692 0.6017 0.2674

Entry 2:
Starting from a structure optimized by DFT (PBE), the powder diffractogram of PaCuTe2O8 was calculated for copper Kα.

Peak list (10 most intense, 5 to 70 degrees two-theta, by intensity)
two_theta, Rel. int.
24.93, 100
30.87, 99
47.77, 71
17.60, 37
35.54, 24
60.94, 20
58.22, 18
51.14, 18
57.71, 17
64.31, 13

Cell and atoms:
a b c (Å): 6.1663 6.1663 6.1663
angles (deg): 109.20 109.20 110.01
Fractional coordinates of all 12 atoms:
Pa1 0.0000 0.0000 0.0000
Cu1 0.7500 0.2500 0.5000
Te1 0.2500 0.7500 0.5000
Te2 0.5000 0.5000 0.0000
O1 0.0561 0.3496 0.2935
O2 0.0561 0.7626 0.7065
O3 0.1202 0.3150 0.8052
O4 0.2374 0.9439 0.2935
O5 0.5099 0.3150 0.1948
O6 0.6504 0.9439 0.7065
O7 0.6850 0.4901 0.8052
O8 0.6850 0.8798 0.1948

Entry 3:
Starting from a structure optimized by DFT (PBE), the powder diffractogram of MnAl24Cr was calculated for copper Kα.

Peak list (10 most intense, 5 to 70 degrees two-theta, by intensity)
two_theta, Rel. int.
37.99, 100
45.25, 43
45.35, 43
16.74, 35
41.72, 25
41.83, 25
48.62, 14
63.32, 9
29.21, 9
60.49, 5

Cell and atoms:
a b c (Å): 6.4781 6.4781 10.6173
angles (deg): 90.01 90.01 70.57
Fractional coordinates of all 26 atoms:
Mn1 0.0000 0.0000 0.0000
Al1 0.0326 0.6621 0.1519
Al2 0.0603 0.0603 0.2441
Al3 0.1022 0.7118 0.4071
Al4 0.1618 0.5333 0.6523
Al5 0.2117 0.6029 0.9077
Al6 0.2455 0.2455 0.0599
Al7 0.2553 0.2553 0.4399
Al8 0.2882 0.8978 0.5929
Al9 0.3379 0.9674 0.8481
Al10 0.3971 0.7883 0.0923
Al11 0.4409 0.4409 0.2545
Al12 0.4667 0.8382 0.3477
Al13 0.5333 0.1618 0.6523
Al14 0.5591 0.5591 0.7455
Al15 0.6029 0.2117 0.9077
Al16 0.6621 0.0326 0.1519
Al17 0.7118 0.1022 0.4071
Al18 0.7447 0.7447 0.5601
Al19 0.7545 0.7545 0.9401
Al20 0.7883 0.3971 0.0923
Al21 0.8382 0.4667 0.3477
Al22 0.8978 0.2882 0.5929
Al23 0.9397 0.9397 0.7559
Al24 0.9674 0.3379 0.8481
Cr1 0.5000 0.5000 0.5000